Structure and computed XRD peak list of Sn2Mo (a DFT-relaxed cell (GGA-PBE, Alexandria); Cu Kα).
No peak broadening, texture or thermal motion is included.

```
Sn2Mo
1.0
5.532 0.000 0.000
-2.766 4.791 0.000
0.000 0.000 14.332
Sn Mo
12 6
Cartesian
-1.383 2.396 0.914
-1.383 2.396 3.863
0.000 1.609 7.166
-1.373 3.987 11.943
1.393 0.804 2.389
2.766 0.000 5.691
2.766 0.000 8.640
1.383 2.396 10.469
1.383 2.396 13.418
1.373 3.987 2.389
4.139 0.804 11.943
2.766 3.183 7.166
0.000 0.000 0.000
0.000 0.000 4.777
0.000 0.000 9.555
-1.383 2.396 9.555
2.766 0.000 0.000
1.383 2.396 4.777
```

Most intense lines, 2θ from 10° to 80°, most intense first:
Position (°2θ)  I/Imax
42.21  100.0
36.53  74.9
34.76  66.5
32.98  52.7
37.55  46.7
60.47  34.9
67.75  30.9
31.17  28.2
79.50  16.8
74.57  16.2
61.69  15.7
59.28  14.5


Structure and computed XRD peak list of LaFe2OsCl (a DFT-relaxed cell (GGA-PBE, Alexandria); Cu Kα).
No peak broadening, texture or thermal motion is included.

```
LaFe2OsCl
1.0
4.597 0.000 0.000
0.000 4.597 0.000
0.000 0.000 5.760
La Fe Os Cl
1 2 1 1
Cartesian
0.000 0.000 0.000
0.000 2.299 2.880
2.299 0.000 2.880
0.000 0.000 2.880
2.299 2.299 0.000
```

Most intense lines, 2θ from 10° to 80°, most intense first:
Position (°2θ)  I/Imax
19.31  100.0
39.19  46.6
31.06  44.3
50.82  43.3
36.83  40.6
27.44  30.5
54.87  26.5
44.04  24.9
41.91  19.8
66.00  19.3
15.38  17.7
56.63  15.5